Structure and theoretical powder diffractogram of BaAc4Mn3O12 (a structure optimized by DFT (PBE+U); Cu Kα, 1.54184 Å).

Peak list (8 most intense, 10° ≤ 2θ ≤ 90°, low angle first)
- (2 0 0), 20.24 deg, I 27.5
- (2 2 0), 28.77 deg, I 100.0
- (4 0 0), 41.14 deg, I 20.0
- (4 0 2), 46.26 deg, I 17.6
- (4 2 2), 50.98 deg, I 47.8
- (4 4 0), 59.59 deg, I 12.9
- (6 2 0), 67.50 deg, I 19.6
- (6 4 2), 82.19 deg, I 21.6

Cell and atoms:
```
data_BaAc4Mn3O12
_cell_length_a 8.7766
_cell_length_b 8.7766
_cell_length_c 8.7766
_cell_angle_alpha 90.00
_cell_angle_beta 90.00
_cell_angle_gamma 90.00
_space_group_name_H-M_alt 'I m -3'
_space_group_IT_number 204
_space_group_name_Hall '-I 2 2 3'
loop_
_atom_site_label
_atom_site_type_symbol
_atom_site_fract_x
_atom_site_fract_y
_atom_site_fract_z
Ba1 Ba 0.0000 0.0000 0.0000
Ac1 Ac 0.2500 0.2500 0.2500
Mn1 Mn 0.0000 0.0000 0.5000
O1 O 0.0000 0.1479 0.3346
```